This entry pairs a crystal structure of CeNi2Sn2 with its computed X-ray powder pattern. Radiation: Cu Kα (weighted mean of Kα1 and Kα2). Structure: the GGA-PBE geometry in the Materials Project.
Neutral-atom scattering factors, no anomalous dispersion.

The 10 most intense peaks (2θ from 15° to 90°), most intense first:
2θ = 32.8°, I = 100, (1 0 3)
2θ = 40.7°, I = 62, (2 0 0)
2θ = 53.2°, I = 52, (2 1 3)
2θ = 33.4°, I = 45, (1 1 2)
2θ = 28.5°, I = 38, (1 1 0)
2θ = 59.0°, I = 21, (2 2 0)
2θ = 61.1°, I = 19, (1 1 6)
2θ = 45.3°, I = 18, (1 1 4)
2θ = 48.3°, I = 17, (1 0 5)
2θ = 83.5°, I = 15, (3 2 3)

Crystal structure
```
data_CeNi2Sn2
_chemical_formula_sum 'Ce2 Ni4 Sn4'
_symmetry_space_group_name_H-M 'I 4/m m m'
_symmetry_Int_Tables_number 139
_symmetry_space_group_name_Hall '-I 4 2'
_cell_length_a 4.4302
_cell_length_b 4.4302
_cell_length_c 10.4053
_cell_angle_alpha 90.00
_cell_angle_beta 90.00
_cell_angle_gamma 90.00
loop_
_atom_site_label
_atom_site_type_symbol
_atom_site_fract_x
_atom_site_fract_y
_atom_site_fract_z
Ce1 Ce 0.0000 0.0000 0.0000
Ni1 Ni 0.0000 0.5000 0.2500
Sn1 Sn 0.0000 0.0000 0.3638
```


This entry pairs a crystal structure of Ce2NiSn4 with its computed X-ray powder pattern. Radiation: Cu Kα (weighted mean of Kα1 and Kα2). Structure: the GGA-PBE geometry in the Materials Project.
Neutral-atom scattering factors, no anomalous dispersion.

The 10 most intense peaks (2θ from 15° to 90°), most intense first:
2θ = 32.1°, I = 100, (1 1 3)
2θ = 39.8°, I = 21, (0 2 0)
2θ = 40.1°, I = 21, (2 0 0)
2θ = 67.5°, I = 18, (1 3 3)
2θ = 37.2°, I = 16, (1 0 6)
2θ = 31.2°, I = 14, (0 0 6)
2θ = 57.8°, I = 14, (2 2 0)
2θ = 67.8°, I = 13, (3 1 3)
2θ = 55.6°, I = 10, (1 2 6)
2θ = 32.7°, I = 9, (0 1 5)

Crystal structure
```
data_Ce2NiSn4
_chemical_formula_sum 'Ce4 Ni2 Sn8'
_symmetry_space_group_name_H-M 'A m m 2'
_symmetry_Int_Tables_number 38
_symmetry_space_group_name_Hall 'A 2 -2'
_cell_length_a 4.5023
_cell_length_b 4.5271
_cell_length_c 17.2112
_cell_angle_alpha 90.00
_cell_angle_beta 90.00
_cell_angle_gamma 90.00
loop_
_atom_site_label
_atom_site_type_symbol
_atom_site_fract_x
_atom_site_fract_y
_atom_site_fract_z
Ce1 Ce 0.0000 0.0000 0.0000
Ce2 Ce 0.5000 0.0000 0.2083
Ni1 Ni 0.0000 0.0000 0.7941
Sn1 Sn 0.0000 0.0000 0.3628
Sn2 Sn 0.0000 0.0000 0.6492
Sn3 Sn 0.5000 0.0000 0.5387
Sn4 Sn 0.5000 0.0000 0.8637
```


This entry pairs a crystal structure of CeNi2Sn2 with its computed X-ray powder pattern. Radiation: Cu Kα (weighted mean of Kα1 and Kα2). Structure: the GGA-PBE geometry in the Materials Project.
Neutral-atom scattering factors, no anomalous dispersion.

The 10 most intense peaks (2θ from 15° to 90°), most intense first:
2θ = 33.6°, I = 100, (1 1 2)
2θ = 40.6°, I = 73, (2 0 0)
2θ = 33.5°, I = 66, (1 0 3)
2θ = 53.6°, I = 35, (2 1 3)
2θ = 69.4°, I = 32, (3 1 2)
2θ = 58.7°, I = 25, (2 2 0)
2θ = 46.2°, I = 22, (1 1 4)
2θ = 49.8°, I = 22, (1 0 5)
2θ = 66.1°, I = 19, (2 1 5)
2θ = 89.6°, I = 15, (2 0 8)

Crystal structure
```
data_CeNi2Sn2
_chemical_formula_sum 'Ce2 Ni4 Sn4'
_symmetry_space_group_name_H-M 'P 4/n m m'
_symmetry_Int_Tables_number 129
_cell_length_a 4.4470
_cell_length_b 4.4470
_cell_length_c 10.0519
_cell_angle_alpha 90.00
_cell_angle_beta 90.00
_cell_angle_gamma 90.00
loop_
_symmetry_equiv_pos_as_xyz
'x,y,z'
'-x,-y,-z'
'-y+1/2,x,z'
'y+1/2,-x,-z'
'-x+1/2,-y+1/2,z'
'x+1/2,y+1/2,-z'
'y,-x+1/2,z'
'-y,x+1/2,-z'
'x+1/2,-y,-z'
'-x+1/2,y,z'
'-y,-x,-z'
'y,x,z'
'-x,y+1/2,-z'
'x,-y+1/2,z'
'y+1/2,x+1/2,-z'
'-y+1/2,-x+1/2,z'
loop_
_atom_site_label
_atom_site_type_symbol
_atom_site_fract_x
_atom_site_fract_y
_atom_site_fract_z
Ce1 Ce 0.2500 0.2500 0.2384
Ni1 Ni 0.2500 0.2500 0.6269
Ni2 Ni 0.2500 0.7500 0.0000
Sn1 Sn 0.2500 0.2500 0.8742
Sn2 Sn 0.2500 0.7500 0.5000
```


This entry pairs a crystal structure of Ce10Ni3Sn3 with its computed X-ray powder pattern. Radiation: Cu Kα (weighted mean of Kα1 and Kα2). Structure: the GGA-PBE geometry in the Materials Project.
Neutral-atom scattering factors, no anomalous dispersion.

The 10 most intense peaks (2θ from 15° to 90°), most intense first:
2θ = 33.5°, I = 100, (3 3 1)
2θ = 34.7°, I = 85, (2 0 4)
2θ = 32.0°, I = 79, (1 3 3)
2θ = 36.0°, I = 66, (2 4 2)
2θ = 26.9°, I = 27, (3 1 1)
2θ = 31.8°, I = 26, (0 4 2)
2θ = 53.1°, I = 24, (5 3 3)
2θ = 54.8°, I = 18, (0 4 6)
2θ = 33.3°, I = 17, (4 0 0)
2θ = 25.1°, I = 17, (1 1 3)

Crystal structure
```
data_Ce10Ni3Sn3
_chemical_formula_sum 'Ce40 Ni12 Sn12'
_symmetry_space_group_name_H-M 'F m m 2'
_symmetry_Int_Tables_number 42
_symmetry_space_group_name_Hall 'F 2 -2'
_cell_length_a 10.7511
_cell_length_b 12.8135
_cell_length_c 11.7931
_cell_angle_alpha 90.00
_cell_angle_beta 90.00
_cell_angle_gamma 90.00
loop_
_atom_site_label
_atom_site_type_symbol
_atom_site_fract_x
_atom_site_fract_y
_atom_site_fract_z
Ce1 Ce 0.0000 0.1354 0.0000
Ce2 Ce 0.0000 0.1451 0.6995
Ce3 Ce 0.1830 0.1470 0.3385
Ce4 Ce 0.1966 0.0000 0.0906
Ni1 Ni 0.0000 0.0000 0.2515
Ni2 Ni 0.1254 0.0000 0.8350
Sn1 Sn 0.0000 0.0000 0.4837
Sn2 Sn 0.2500 0.2500 0.0886
```


This entry pairs a crystal structure of CeNi5Sn with its computed X-ray powder pattern. Radiation: Cu Kα (weighted mean of Kα1 and Kα2). Structure: the GGA-PBE geometry in the Materials Project.
Neutral-atom scattering factors, no anomalous dispersion.

The 10 most intense peaks (2θ from 15° to 90°), most intense first:
2θ = 36.8°, I = 100, (1 1 0)
2θ = 34.6°, I = 66, (1 0 6)
2θ = 41.3°, I = 65, (1 1 4)
2θ = 46.4°, I = 53, (1 1 6)
2θ = 43.0°, I = 52, (2 0 1)
2θ = 46.8°, I = 47, (1 0 9)
2θ = 38.5°, I = 44, (1 0 7)
2θ = 78.4°, I = 34, (2 2 0)
2θ = 64.9°, I = 21, (2 1 6)
2θ = 69.0°, I = 20, (1 1 12)

Crystal structure
```
data_CeNi5Sn
_chemical_formula_sum 'Ce4 Ni20 Sn4'
_symmetry_space_group_name_H-M 'P 63/m m c'
_symmetry_Int_Tables_number 194
_symmetry_space_group_name_Hall '-P 6c 2c'
_cell_length_a 4.8808
_cell_length_b 4.8808
_cell_length_c 19.6702
_cell_angle_alpha 90.00
_cell_angle_beta 90.00
_cell_angle_gamma 120.00
loop_
_atom_site_label
_atom_site_type_symbol
_atom_site_fract_x
_atom_site_fract_y
_atom_site_fract_z
Ce1 Ce 0.0000 0.0000 0.0000
Ce2 Ce 0.3333 0.6667 0.2500
Ni1 Ni 0.0000 0.0000 0.2500
Ni2 Ni 0.1661 0.3321 0.6457
Ni3 Ni 0.3333 0.6667 0.5423
Ni4 Ni 0.3333 0.6667 0.7500
Sn1 Sn 0.3333 0.6667 0.0878
```


This entry pairs a crystal structure of Ce3Ni2Sn7 with its computed X-ray powder pattern. Radiation: Cu Kα (weighted mean of Kα1 and Kα2). Structure: the GGA-PBE geometry in the Materials Project.
Neutral-atom scattering factors, no anomalous dispersion.

The 10 most intense peaks (2θ from 15° to 90°), most intense first:
2θ = 32.0°, I = 100, (1 5 1)
2θ = 39.0°, I = 25, (2 0 0)
2θ = 39.2°, I = 24, (0 0 2)
2θ = 56.5°, I = 17, (2 0 2)
2θ = 32.8°, I = 15, (0 10 0)
2θ = 51.8°, I = 13, (2 10 0)
2θ = 66.3°, I = 13, (3 5 1)
2θ = 66.6°, I = 13, (1 5 3)
2θ = 64.7°, I = 11, (1 17 1)
2θ = 35.9°, I = 10, (1 7 1)

Crystal structure
```
data_Ce3Ni2Sn7
_chemical_formula_sum 'Ce6 Ni4 Sn14'
_symmetry_space_group_name_H-M 'C m m m'
_symmetry_Int_Tables_number 65
_symmetry_space_group_name_Hall '-C 2 2'
_cell_length_a 4.6183
_cell_length_b 27.3051
_cell_length_c 4.5916
_cell_angle_alpha 90.00
_cell_angle_beta 90.00
_cell_angle_gamma 90.00
loop_
_atom_site_label
_atom_site_type_symbol
_atom_site_fract_x
_atom_site_fract_y
_atom_site_fract_z
Ce1 Ce 0.0000 0.0000 0.0000
Ce2 Ce 0.0000 0.3148 0.5000
Ni1 Ni 0.0000 0.1275 0.0000
Sn1 Sn 0.0000 0.0884 0.5000
Sn2 Sn 0.0000 0.2185 0.0000
Sn3 Sn 0.0000 0.4109 0.0000
Sn4 Sn 0.0000 0.5000 0.5000
```


This entry pairs a crystal structure of CeZnNi4 with its computed X-ray powder pattern. Radiation: Cu Kα (weighted mean of Kα1 and Kα2). Structure: the GGA-PBE geometry in the Materials Project.
Neutral-atom scattering factors, no anomalous dispersion.

The 10 most intense peaks (2θ from 15° to 90°), most intense first:
2θ = 42.9°, I = 100, (1 1 1)
2θ = 30.8°, I = 40, (1 0 1)
2θ = 41.7°, I = 33, (2 0 0)
2θ = 35.9°, I = 32, (1 1 0)
2θ = 46.4°, I = 25, (0 0 2)
2θ = 69.3°, I = 23, (3 0 1)
2θ = 76.1°, I = 19, (2 2 0)
2θ = 64.1°, I = 18, (2 0 2)
2θ = 60.0°, I = 14, (1 1 2)
2θ = 83.5°, I = 13, (1 1 3)

Crystal structure
```
data_CeZnNi4
_chemical_formula_sum 'Ce1 Zn1 Ni4'
_symmetry_space_group_name_H-M 'P -6 m 2'
_symmetry_Int_Tables_number 187
_symmetry_space_group_name_Hall 'P -6 2'
_cell_length_a 5.0054
_cell_length_b 5.0054
_cell_length_c 3.9169
_cell_angle_alpha 90.00
_cell_angle_beta 90.00
_cell_angle_gamma 120.00
loop_
_atom_site_label
_atom_site_type_symbol
_atom_site_fract_x
_atom_site_fract_y
_atom_site_fract_z
Ce1 Ce 0.0000 0.0000 0.0000
Zn1 Zn 0.3333 0.6667 0.0000
Ni1 Ni 0.5023 0.0045 0.5000
Ni2 Ni 0.6667 0.3333 0.0000
```


This entry pairs a crystal structure of CeZn4Ni with its computed X-ray powder pattern. Radiation: Cu Kα (weighted mean of Kα1 and Kα2). Structure: the GGA-PBE geometry in the Materials Project.
Neutral-atom scattering factors, no anomalous dispersion.

The 10 most intense peaks (2θ from 15° to 90°), most intense first:
2θ = 40.6°, I = 100, (1 1 1)
2θ = 28.7°, I = 43, (1 0 1)
2θ = 40.1°, I = 35, (2 0 0)
2θ = 42.0°, I = 30, (0 0 2)
2θ = 34.5°, I = 27, (1 1 0)
2θ = 65.9°, I = 23, (3 0 1)
2θ = 59.4°, I = 21, (2 0 2)
2θ = 87.8°, I = 20, (2 2 2)
2θ = 72.8°, I = 16, (2 2 0)
2θ = 75.8°, I = 15, (1 1 3)

Crystal structure
```
data_CeZn4Ni
_chemical_formula_sum 'Ce1 Zn4 Ni1'
_symmetry_space_group_name_H-M 'P -6 m 2'
_symmetry_Int_Tables_number 187
_symmetry_space_group_name_Hall 'P -6 2'
_cell_length_a 5.1971
_cell_length_b 5.1971
_cell_length_c 4.3026
_cell_angle_alpha 90.00
_cell_angle_beta 90.00
_cell_angle_gamma 120.00
loop_
_atom_site_label
_atom_site_type_symbol
_atom_site_fract_x
_atom_site_fract_y
_atom_site_fract_z
Ce1 Ce 0.0000 0.0000 0.0000
Zn1 Zn 0.0082 0.5041 0.5000
Zn2 Zn 0.6667 0.3333 0.0000
Ni1 Ni 0.3333 0.6667 0.0000
```


Copy entry 2 word for word.
This entry pairs a crystal structure of Ce2NiSn4 with its computed X-ray powder pattern. Radiation: Cu Kα (weighted mean of Kα1 and Kα2). Structure: the GGA-PBE geometry in the Materials Project.
Neutral-atom scattering factors, no anomalous dispersion.

The 10 most intense peaks (2θ from 15° to 90°), most intense first:
2θ = 32.1°, I = 100, (1 1 3)
2θ = 39.8°, I = 21, (0 2 0)
2θ = 40.1°, I = 21, (2 0 0)
2θ = 67.5°, I = 18, (1 3 3)
2θ = 37.2°, I = 16, (1 0 6)
2θ = 31.2°, I = 14, (0 0 6)
2θ = 57.8°, I = 14, (2 2 0)
2θ = 67.8°, I = 13, (3 1 3)
2θ = 55.6°, I = 10, (1 2 6)
2θ = 32.7°, I = 9, (0 1 5)

Crystal structure
```
data_Ce2NiSn4
_chemical_formula_sum 'Ce4 Ni2 Sn8'
_symmetry_space_group_name_H-M 'A m m 2'
_symmetry_Int_Tables_number 38
_symmetry_space_group_name_Hall 'A 2 -2'
_cell_length_a 4.5023
_cell_length_b 4.5271
_cell_length_c 17.2112
_cell_angle_alpha 90.00
_cell_angle_beta 90.00
_cell_angle_gamma 90.00
loop_
_atom_site_label
_atom_site_type_symbol
_atom_site_fract_x
_atom_site_fract_y
_atom_site_fract_z
Ce1 Ce 0.0000 0.0000 0.0000
Ce2 Ce 0.5000 0.0000 0.2083
Ni1 Ni 0.0000 0.0000 0.7941
Sn1 Sn 0.0000 0.0000 0.3628
Sn2 Sn 0.0000 0.0000 0.6492
Sn3 Sn 0.5000 0.0000 0.5387
Sn4 Sn 0.5000 0.0000 0.8637
```